# Nb3TeCl7
Computed powder diffractogram, Cu Kα. Input: a structure optimized by DFT (PBE).
Peak positions follow from Bragg's law for the DFT cell and can differ from measured ones.

Top 10 peaks for 2θ from 5° to 70°, in order of falling intensity:
hkl  d (Å)  Rel. int.
0 0 2  6.896  100
2 0 2  2.770  95
2 0 4  2.274  56
1 0 0  6.050  45
0 1 1  5.540  38
1 2 3  2.047  25
2 2 0  1.746  23
1 0 2  4.548  22
0 2 6  1.830  18
1 1 2  3.116  11

Cell and atoms:
Cell lengths 6.9857, 6.9857, 13.7921 Å; angles 90.00, 90.00, 120.00 degrees
Atoms (fractional coordinates):
Nb (0.0538, 0.5269, 0.2414)
Nb (0.4731, 0.5269, 0.2414)
Nb (0.4731, 0.9462, 0.2414)
Nb (0.5269, 0.0538, 0.7586)
Nb (0.5269, 0.4731, 0.7586)
Nb (0.9462, 0.4731, 0.7586)
Te (0.3333, 0.6667, 0.3966)
Te (0.6667, 0.3333, 0.6034)
Cl (0.1675, 0.3351, 0.6654)
Cl (0.1675, 0.8325, 0.6654)
Cl (0.1693, 0.3386, 0.1263)
Cl (0.1693, 0.8307, 0.1263)
Cl (0.3333, 0.6667, 0.8582)
Cl (0.3351, 0.1675, 0.3346)
Cl (0.3386, 0.1693, 0.8737)
Cl (0.6614, 0.8307, 0.1263)
Cl (0.6649, 0.8325, 0.6654)
Cl (0.6667, 0.3333, 0.1418)
Cl (0.8307, 0.1693, 0.8737)
Cl (0.8307, 0.6614, 0.8737)
Cl (0.8325, 0.1675, 0.3346)
Cl (0.8325, 0.6649, 0.3346)